# 1
Structure and simulated powder diffraction line list of Ba3NbN3 (a DFT-relaxed cell (GGA-PBE, Alexandria); Cu Ka).
Intensities are scaled so that the largest is 100.

The 10 most intense peaks (2θ = 5–70°), by angle:
- 24.5 deg, I = 27, hkl 2 0 0
- 26.2 deg, I = 50, hkl 1 1 1
- 29.0 deg, I = 100, hkl 2 0 1
- 30.6 deg, I = 42, hkl 0 0 2
- 32.7 deg, I = 36, hkl 1 2 0
- 45.1 deg, I = 17, hkl 3 1 0
- 45.4 deg, I = 27, hkl 1 2 2
- 47.8 deg, I = 16, hkl 3 1 1
- 53.4 deg, I = 18, hkl 2 0 3
- 55.4 deg, I = 18, hkl 3 1 2

```
Ba3NbN3
1.0
8.377 0.000 0.000
-4.189 7.255 0.000
0.000 0.000 5.844
Ba Nb N
6 2 6
direct
0.109 0.362 0.250
0.253 0.891 0.250
0.362 0.253 0.750
0.638 0.747 0.250
0.747 0.109 0.750
0.891 0.638 0.750
0.333 0.667 0.750
0.667 0.333 0.250
0.136 0.408 0.750
0.272 0.864 0.750
0.408 0.272 0.250
0.592 0.728 0.750
0.728 0.136 0.250
0.864 0.592 0.250
```

=====

# 2
Structure and simulated powder diffraction line list of Ce2AgSn8 (a DFT-relaxed cell (GGA-PBE, Alexandria); Cu Ka).
Intensities are scaled so that the largest is 100.

The 10 most intense peaks (2θ = 5–70°), by angle:
- 30.0 deg, I = 13, hkl 1 1 2
- 33.9 deg, I = 100, hkl 1 1 3
- 34.7 deg, I = 9, hkl 0 0 5
- 37.9 deg, I = 43, hkl 2 0 0
- 41.9 deg, I = 9, hkl 0 0 6
- 52.3 deg, I = 11, hkl 2 0 5
- 54.7 deg, I = 15, hkl 2 2 0
- 57.8 deg, I = 14, hkl 2 0 6
- 63.9 deg, I = 12, hkl 1 1 8
- 65.9 deg, I = 30, hkl 3 1 3

```
Ce2AgSn8
1.0
4.743 0.000 0.000
0.000 4.743 0.000
0.000 0.000 12.940
Ce Ag Sn
2 1 8
direct
0.000 0.000 0.176
0.000 0.000 0.824
0.000 0.000 0.500
0.000 0.500 0.000
0.000 0.500 0.365
0.000 0.500 0.635
0.500 0.000 0.000
0.500 0.000 0.365
0.500 0.000 0.635
0.500 0.500 0.182
0.500 0.500 0.818
```

=====

# 3
Structure and simulated powder diffraction line list of Ba2BeF6 (a DFT-relaxed cell (GGA-PBE, Alexandria); Cu Ka).
Intensities are scaled so that the largest is 100.

The 10 most intense peaks (2θ = 5–70°), by angle:
- 21.7 deg, I = 79, hkl 1 1 0
- 23.7 deg, I = 48, hkl 1 1 -1
- 23.9 deg, I = 43, hkl 0 1 2
- 24.5 deg, I = 69, hkl 1 1 1
- 25.5 deg, I = 100, hkl 0 2 1
- 27.1 deg, I = 40, hkl 1 0 -2
- 33.6 deg, I = 50, hkl 0 1 3
- 37.0 deg, I = 46, hkl 2 0 0
- 39.9 deg, I = 55, hkl 1 3 0
- 43.1 deg, I = 47, hkl 1 2 -3

```
Ba2BeF6
1.0
4.861 0.000 0.000
0.000 7.654 0.000
-0.410 0.000 8.538
Ba Be F
4 2 12
direct
0.209 0.000 0.089
0.233 0.739 0.557
0.767 0.239 0.443
0.791 0.500 0.911
0.305 0.486 0.228
0.695 0.986 0.772
0.170 0.350 0.111
0.189 0.674 0.206
0.237 0.044 0.402
0.249 0.425 0.401
0.284 0.570 0.823
0.379 0.982 0.790
0.621 0.482 0.210
0.716 0.070 0.177
0.751 0.925 0.599
0.763 0.544 0.598
0.811 0.174 0.794
0.830 0.850 0.889
```